Entry 1:
The following is a theoretical X-ray powder pattern of CaP2H8C2O6. It was derived from a PBE-relaxed structure, using Cu Kα, 1.54184 Å.

```
CaP2H8C2O6
1.0
10.3226 -2.8384 0.0000
10.3226 2.8384 0.0000
-2.3211 0.0000 6.9669
Ca P H C O
2 4 16 4 12
Direct
0.1319 0.8681 0.7500 Ca
0.8681 0.1319 0.2500 Ca
0.2231 0.5743 0.0528 P
0.4257 0.7769 0.4472 P
0.5743 0.2231 0.5528 P
0.7769 0.4257 0.9472 P
0.1018 0.2923 0.1310 H
0.1444 0.5025 0.7280 H
0.1709 0.3863 0.8938 H
0.1955 0.6059 0.3649 H
0.2923 0.1018 0.6310 H
0.3863 0.1709 0.3938 H
0.3941 0.8045 0.1351 H
0.4975 0.8556 0.7720 H
0.5025 0.1444 0.2280 H
0.6059 0.1955 0.8649 H
0.6137 0.8291 0.6062 H
0.7077 0.8982 0.3690 H
0.8045 0.3941 0.6351 H
0.8291 0.6137 0.1062 H
0.8556 0.4975 0.2720 H
0.8982 0.7077 0.8690 H
0.0982 0.5379 0.8684 C
0.4621 0.9018 0.6316 C
0.5379 0.0982 0.3684 C
0.9018 0.4621 0.1316 C
0.0971 0.6726 0.2361 O
0.1287 0.7796 0.0120 O
0.2204 0.8713 0.4880 O
0.3268 0.5036 0.5774 O
0.3274 0.9029 0.2639 O
0.4964 0.6732 0.9226 O
0.5036 0.3268 0.0774 O
0.6726 0.0971 0.7361 O
0.6732 0.4964 0.4226 O
0.7796 0.1287 0.5120 O
0.8713 0.2204 0.9880 O
0.9029 0.3274 0.7639 O
```

Largest 10 diffraction maxima, most intense first, 2θ from 10° to 90°:
26.30 deg, d = 3.389 Å, I = 100
26.59 deg, d = 3.352 Å, I = 94
27.29 deg, d = 3.268 Å, I = 87
33.53 deg, d = 2.673 Å, I = 72
27.67 deg, d = 3.224 Å, I = 65
21.56 deg, d = 4.121 Å, I = 65
19.77 deg, d = 4.490 Å, I = 63
20.73 deg, d = 4.284 Å, I = 62
18.12 deg, d = 4.897 Å, I = 49
31.52 deg, d = 2.838 Å, I = 40

***

Entry 2:
The following is a theoretical X-ray powder pattern of Tl2SCl2. It was derived from a PBE-relaxed structure, using Cu Kα, 1.54184 Å.

```
Tl2SCl2
1.0
6.4731 0.0000 0.0000
0.0000 6.4731 0.0000
0.0000 0.0000 12.6732
Tl S Cl
2 1 2
Direct
0.0000 0.0000 0.1971 Tl
0.0000 0.0000 0.8029 Tl
0.0000 0.0000 0.0000 S
0.0000 0.0000 0.3950 Cl
0.0000 0.0000 0.6050 Cl
```

Largest 10 diffraction maxima, most intense first, 2θ from 10° to 90°:
13.68 deg, d = 6.473 Å, I = 100
19.39 deg, d = 4.577 Å, I = 45
30.89 deg, d = 2.895 Å, I = 28
19.60 deg, d = 4.528 Å, I = 22
27.56 deg, d = 3.237 Å, I = 19
47.69 deg, d = 1.907 Å, I = 16
38.13 deg, d = 2.360 Å, I = 16
23.98 deg, d = 3.710 Å, I = 14
25.17 deg, d = 3.538 Å, I = 13
40.69 deg, d = 2.217 Å, I = 13